# Tm2Al9Rh3
Simulated X-ray diffraction stick pattern, CuKα. Input: DFT lattice parameters and positions (PBE).
Intensities are scaled so that the largest is 100.

Top 12 peaks for 2θ from 15° to 90°, low angle first:
Position (°2θ)	I/Imax
16.47	31
25.34	27
25.47	56
30.25	48
30.36	92
37.19	100
38.08	42
41.39	85
41.63	41
52.32	28
57.49	39
64.06	27

Crystal structure
a b c (Å): 7.5290 7.5290 9.4514
angles (deg): 90.00 90.00 60.38
Element x y z (fractional)
Tm 0.0041 0.6685 0.7500
Tm 0.3315 0.9959 0.7500
Tm 0.6685 0.0041 0.2500
Tm 0.9959 0.3315 0.2500
Al 0.0008 0.6660 0.0735
Al 0.0008 0.6660 0.4265
Al 0.1243 0.8757 0.2500
Al 0.3337 0.6663 0.5556
Al 0.3337 0.6663 0.9444
Al 0.3340 0.9992 0.0735
Al 0.3340 0.9992 0.4265
Al 0.3369 0.4524 0.2500
Al 0.4524 0.3369 0.7500
Al 0.5476 0.6631 0.2500
Al 0.6631 0.5476 0.7500
Al 0.6660 0.0008 0.5735
Al 0.6660 0.0008 0.9265
Al 0.6663 0.3337 0.0556
Al 0.6663 0.3337 0.4444
Al 0.8757 0.1243 0.7500
Al 0.9992 0.3340 0.5735
Al 0.9992 0.3340 0.9265
Rh 0.0000 0.0000 0.0000
Rh 0.0000 0.0000 0.5000
Rh 0.3277 0.3277 0.0000
Rh 0.3277 0.3277 0.5000
Rh 0.6723 0.6723 0.0000
Rh 0.6723 0.6723 0.5000